Starting from a structure optimized by DFT (PBE), the PXRD pattern of Rb8N3O was simulated for CuKα.
No peak broadening, texture or thermal motion is included.

Structure:
a b c (Å): 7.1000 7.1000 7.1000
angles (deg): 90.00 90.00 90.00
Space group Pm-3m (No. 221)
One atom of each set of equivalent atoms:
Rb (0.2483, 0.2483, 0.2483) x8
N (0.0000, 0.5000, 0.5000) x3
O (0.0000, 0.0000, 0.0000) x1

Largest 10 diffraction maxima, in order of falling intensity, 2θ from 10° to 90°:
index, Position (°2θ), I (rel.)
2 2 0, 35.8, 100
2 0 0, 25.1, 91
4 2 0, 58.1, 35
4 2 2, 64.3, 34
2 2 2, 44.2, 26
6 0 0, 81.3, 17
4 0 0, 51.5, 17
6 2 0, 86.7, 15
4 4 0, 75.8, 10
1 1 1, 21.7, 2